Starting from the PBE geometry in the Materials Project, the powder diffraction line list of Nd2Ga7Pd was computed for copper Kα.
No peak broadening, texture or thermal motion is included.

The 10 most intense peaks (2θ = 10–90°), by angle:
| 2θ (°) | d_spacing | I/Imax | index |
| --- | --- | --- | --- |
| 32.69 | 2.740 | 55 | 1 0 3 |
| 33.89 | 2.645 | 100 | 1 1 2 |
| 41.92 | 2.155 | 54 | 2 0 0 |
| 47.64 | 1.909 | 27 | 1 0 5 |
| 54.14 | 1.694 | 26 | 2 1 3 |
| 60.37 | 1.533 | 12 | 1 1 6 |
| 60.78 | 1.524 | 18 | 2 2 0 |
| 65.30 | 1.429 | 21 | 2 1 5 |
| 71.44 | 1.320 | 22 | 3 1 2 |
| 85.80 | 1.133 | 19 | 2 0 8 |

Structural model:
a = 4.311 Å, b = 4.311 Å, c = 10.646 Å
α = 90.00°, β = 90.00°, γ = 90.00°
Space group P-4m2 (No. 115)
Asymmetric unit:
Nd 0.000 0.500 0.249 (multiplicity 2)
Ga 0.000 0.000 0.000 (multiplicity 1)
Ga 0.000 0.000 0.500 (multiplicity 1)
Ga 0.000 0.500 0.636 (multiplicity 2)
Ga 0.000 0.500 0.869 (multiplicity 2)
Ga 0.500 0.500 0.500 (multiplicity 1)
Pd 0.500 0.500 0.000 (multiplicity 1)